Diffraction record for Ac2TmMg12Hg3. The X-ray diffraction stick pattern is computed, not measured: it uses a GGA-PBE-relaxed structure and Cu Kα.

Principal peaks in the range 10° ≤ 2θ ≤ 80°, by intensity:
2theta, Rel. int.
23.48, 100
24.34, 91
36.10, 62
28.29, 57
21.70, 54
40.75, 53
40.59, 43
22.90, 35
29.95, 31
10.96, 31
47.59, 29
20.05, 27

Structural model:
```
data_Ac2TmMg12Hg3
_space_group_name_H-M_alt 'R -3 m'
_space_group_IT_number 166
_space_group_name_Hall '-R 3 2"'
_cell_length_a 8.8578
_cell_length_b 8.8578
_cell_length_c 24.2228
_cell_angle_alpha 90.00
_cell_angle_beta 90.00
_cell_angle_gamma 120.00
loop_
_atom_site_label
_atom_site_type_symbol
_atom_site_fract_x
_atom_site_fract_y
_atom_site_fract_z
Ac1 Ac 0.0000 0.0000 0.0831
Tm1 Tm 0.0000 0.0000 0.5000
Mg1 Mg 0.0825 0.5412 0.8704
Mg2 Mg 0.0969 0.5484 0.2700
Hg1 Hg 0.0000 0.5000 0.0000
```